(1)
Theoretical X-ray powder pattern
Compound: Pa2Sn2Ru3
Radiation: Cu Kα X-rays
Structure: a crystal structure in Alexandria, relaxed with PBE

Principal peaks in the range 2θ from 5° to 70°, in order of rising 2θ:
- hkl 1 1 1, 2θ = 27.20°, I = 31
- hkl 3 1 0, 2θ = 28.53°, I = 35
- hkl 3 1 -1, 2θ = 32.49°, I = 100
- hkl 0 2 0, 2θ = 38.57°, I = 49
- hkl 2 0 2, 2θ = 39.13°, I = 39
- hkl 5 1 0, 2θ = 40.56°, I = 26
- hkl 5 1 1, 2θ = 45.76°, I = 28
- hkl 2 2 2, 2θ = 56.11°, I = 27

```
data_Pa2Sn2Ru3
_cell_length_a 12.7043
_cell_length_b 4.6681
_cell_length_c 5.1468
_cell_angle_alpha 90.00
_cell_angle_beta 95.28
_cell_angle_gamma 90.00
_space_group_name_H-M_alt 'C 1 2/m 1'
_space_group_IT_number 12
loop_
_space_group_symop_operation_xyz
'x,y,z'
'-x,-y,-z'
'-x,y,-z'
'x,-y,z'
'x+1/2,y+1/2,z'
'-x+1/2,-y+1/2,-z'
'-x+1/2,y+1/2,-z'
'x+1/2,-y+1/2,z'
loop_
_atom_site_label
_atom_site_type_symbol
_atom_site_fract_x
_atom_site_fract_y
_atom_site_fract_z
Pa1 Pa 0.1517 0.0000 0.3599
Sn1 Sn 0.0953 0.5000 0.8392
Ru1 Ru 0.0000 0.0000 0.0000
Ru2 Ru 0.2141 0.0000 0.8087
```

***

(2)
Theoretical X-ray powder pattern
Compound: Ac2PuSb3Rh4
Radiation: Cu Kα X-rays
Structure: a crystal structure in Alexandria, relaxed with PBE

Principal peaks in the range 2θ from 5° to 70°, in order of rising 2θ:
- hkl 1 0 3, 2θ = 31.24°, I = 52
- hkl 1 1 2, 2θ = 31.89°, I = 100
- hkl 2 0 0, 2θ = 38.96°, I = 59
- hkl 1 0 5, 2θ = 45.89°, I = 20
- hkl 2 1 3, 2θ = 50.76°, I = 27
- hkl 2 2 0, 2θ = 56.27°, I = 20
- hkl 2 1 5, 2θ = 61.73°, I = 16
- hkl 3 1 2, 2θ = 66.15°, I = 25

```
data_Ac2PuSb3Rh4
_cell_length_a 4.6239
_cell_length_b 4.6239
_cell_length_c 10.9376
_cell_angle_alpha 90.00
_cell_angle_beta 90.00
_cell_angle_gamma 90.00
_space_group_name_H-M_alt 'P -4 m 2'
_space_group_IT_number 115
loop_
_space_group_symop_operation_xyz
'x,y,z'
'y,-x,-z'
'-x,-y,z'
'-y,x,-z'
'-x,y,z'
'-y,-x,-z'
'x,-y,z'
'y,x,-z'
loop_
_atom_site_label
_atom_site_type_symbol
_atom_site_fract_x
_atom_site_fract_y
_atom_site_fract_z
Ac1 Ac 0.0000 0.5000 0.2345
Pu1 Pu 0.0000 0.0000 0.5000
Sb1 Sb 0.0000 0.5000 0.8771
Sb2 Sb 0.5000 0.5000 0.5000
Rh1 Rh 0.0000 0.0000 0.0000
Rh2 Rh 0.0000 0.5000 0.6369
Rh3 Rh 0.5000 0.5000 0.0000
```

***

(3)
Theoretical X-ray powder pattern
Compound: NdPu2Os9
Radiation: Cu Kα X-rays
Structure: a crystal structure in Alexandria, relaxed with PBE

Principal peaks in the range 2θ from 5° to 70°, in order of rising 2θ:
- hkl 1 -1 2, 2θ = 30.84°, I = 42
- hkl -2 1 1, 2θ = 33.71°, I = 42
- hkl 1 1 1, 2θ = 39.21°, I = 100
- hkl 2 -1 1, 2θ = 39.60°, I = 97
- hkl -2 1 3, 2θ = 39.92°, I = 80
- hkl 0 0 4, 2θ = 41.63°, I = 54
- hkl 2 0 -3, 2θ = 42.57°, I = 55
- hkl 0 1 -4, 2θ = 42.77°, I = 41

```
data_NdPu2Os9
_cell_length_a 5.3119
_cell_length_b 5.3258
_cell_length_c 9.2034
_cell_angle_alpha 90.91
_cell_angle_beta 106.52
_cell_angle_gamma 118.76
_space_group_name_H-M_alt 'P -1'
_space_group_IT_number 2
loop_
_space_group_symop_operation_xyz
'x,y,z'
'-x,-y,-z'
loop_
_atom_site_label
_atom_site_type_symbol
_atom_site_fract_x
_atom_site_fract_y
_atom_site_fract_z
Nd1 Nd 0.0000 0.0000 0.0000
Pu1 Pu 0.2839 0.1411 0.4241
Os1 Os 0.0000 0.5000 0.5000
Os2 Os 0.1599 0.5851 0.2415
Os3 Os 0.3337 0.3999 0.7355
Os4 Os 0.3436 0.9182 0.7602
Os5 Os 0.3535 0.6340 0.9929
```